(1)
Simulated powder XRD pattern of KTiS2 for Cu Kα, from a crystal structure in the Materials Project, relaxed with GGA-PBE.
Intensities are scaled so that the largest is 100.

Structural model:
Cell lengths 3.650, 3.650, 22.115 Å; angles 90.00, 90.00, 120.00 degrees
Positions (direct):
K1 0.000 0.000 0.000
K2 0.333 0.667 0.667
K3 0.667 0.333 0.333
Ti1 0.000 0.000 0.168
Ti2 0.333 0.667 0.835
Ti3 0.667 0.333 0.502
S1 0.000 0.000 0.564
S2 0.000 0.000 0.772
S3 0.333 0.667 0.231
S4 0.333 0.667 0.439
S5 0.667 0.333 0.106
S6 0.667 0.333 0.897

Most intense lines, 2θ from 15° to 90°, low angle first:
28.5°, I 13; 29.4°, I 26; 32.6°, I 14; 34.9°, I 100; 40.4°, I 22; 50.0°, I 39; 50.4°, I 17; 62.4°, I 15

=====

(2)
Simulated powder XRD pattern of MgSnIr2 for Cu Kα, from a crystal structure in the Materials Project, relaxed with GGA-PBE.
Intensities are scaled so that the largest is 100.

Structural model:
Cell lengths 6.374, 6.374, 6.374 Å; angles 90.00, 90.00, 90.00 degrees
Positions (direct):
Mg1 0.000 0.000 0.000
Mg2 0.000 0.500 0.500
Mg3 0.500 0.000 0.500
Mg4 0.500 0.500 0.000
Sn1 0.000 0.000 0.500
Sn2 0.000 0.500 0.000
Sn3 0.500 0.000 0.000
Sn4 0.500 0.500 0.500
Ir1 0.250 0.250 0.250
Ir2 0.250 0.250 0.750
Ir3 0.250 0.750 0.250
Ir4 0.250 0.750 0.750
Ir5 0.750 0.250 0.250
Ir6 0.750 0.250 0.750
Ir7 0.750 0.750 0.250
Ir8 0.750 0.750 0.750

Most intense lines, 2θ from 15° to 90°, low angle first:
24.2°, I 8; 28.0°, I 25; 40.0°, I 100; 49.5°, I 7; 57.9°, I 17; 65.5°, I 9; 72.7°, I 35; 86.3°, I 12

=====

(3)
Simulated powder XRD pattern of Zr2Co12P7 for Cu Kα, from a crystal structure in the Materials Project, relaxed with GGA-PBE.
Intensities are scaled so that the largest is 100.

Structural model:
Cell lengths 8.922, 8.922, 3.560 Å; angles 90.00, 90.00, 120.00 degrees
Positions (direct):
Zr1 0.000 0.000 0.000
Zr2 0.333 0.667 0.500
Co1 0.052 0.772 0.500
Co2 0.105 0.396 0.000
Co3 0.228 0.280 0.500
Co4 0.292 0.895 0.000
Co5 0.390 0.215 0.000
Co6 0.537 0.105 0.500
Co7 0.568 0.463 0.500
Co8 0.604 0.708 0.000
Co9 0.720 0.948 0.500
Co10 0.785 0.175 0.000
Co11 0.825 0.610 0.000
Co12 0.895 0.432 0.500
P1 0.076 0.625 0.000
P2 0.261 0.044 0.500
P3 0.375 0.451 0.000
P4 0.549 0.924 0.000
P5 0.667 0.333 0.000
P6 0.782 0.739 0.500
P7 0.956 0.218 0.500

Most intense lines, 2θ from 15° to 90°, low angle first:
39.9°, I 100; 43.4°, I 8; 47.0°, I 8; 49.7°, I 13; 51.3°, I 18; 54.4°, I 18; 78.1°, I 12; 89.0°, I 9

=====

(4)
Simulated powder XRD pattern of ThRu for Cu Kα, from a crystal structure in the Materials Project, relaxed with GGA-PBE.
Intensities are scaled so that the largest is 100.

Structural model:
Cell lengths 3.888, 11.601, 4.010 Å; angles 90.00, 90.00, 90.00 degrees
Positions (direct):
Th1 0.000 0.137 0.250
Th2 0.000 0.863 0.750
Th3 0.500 0.363 0.750
Th4 0.500 0.637 0.250
Ru1 0.000 0.407 0.250
Ru2 0.000 0.593 0.750
Ru3 0.500 0.093 0.750
Ru4 0.500 0.907 0.250

Most intense lines, 2θ from 15° to 90°, low angle first:
27.0°, I 25; 30.8°, I 47; 32.7°, I 29; 33.0°, I 100; 39.8°, I 56; 45.2°, I 22; 46.7°, I 20; 75.6°, I 24

=====

(5)
Simulated powder XRD pattern of CeMg2H7 for Cu Kα, from a crystal structure in the Materials Project, relaxed with GGA-PBE.
Intensities are scaled so that the largest is 100.

Structural model:
Cell lengths 6.277, 6.277, 9.372 Å; angles 90.00, 90.00, 90.00 degrees
Positions (direct):
Ce1 0.231 0.231 0.000
Ce2 0.269 0.731 0.250
Ce3 0.731 0.269 0.750
Ce4 0.769 0.769 0.500
Mg1 0.027 0.738 0.898
Mg2 0.238 0.473 0.648
Mg3 0.262 0.973 0.602
Mg4 0.473 0.238 0.352
Mg5 0.527 0.762 0.852
Mg6 0.738 0.027 0.102
Mg7 0.762 0.527 0.148
Mg8 0.973 0.262 0.398
H1 0.031 0.961 0.378
H2 0.039 0.969 0.122
H3 0.064 0.421 0.820
H4 0.079 0.564 0.070
H5 0.155 0.694 0.502
H6 0.194 0.345 0.252
H7 0.245 0.755 0.750
H8 0.255 0.255 0.500
H9 0.306 0.845 0.998
H10 0.345 0.194 0.748
H11 0.421 0.064 0.180
H12 0.436 0.921 0.430
H13 0.461 0.469 0.128
H14 0.469 0.461 0.872
H15 0.531 0.539 0.372
H16 0.539 0.531 0.628
H17 0.564 0.079 0.930
H18 0.579 0.936 0.680
H19 0.655 0.806 0.248
H20 0.694 0.155 0.498
H21 0.745 0.745 0.000
H22 0.755 0.245 0.250
H23 0.806 0.655 0.752
H24 0.845 0.306 0.002
H25 0.921 0.436 0.570
H26 0.936 0.579 0.320
H27 0.961 0.031 0.622
H28 0.969 0.039 0.878

Most intense lines, 2θ from 15° to 90°, low angle first:
17.0°, I 93; 27.7°, I 100; 28.4°, I 48; 32.0°, I 56; 33.3°, I 96; 48.5°, I 23; 49.9°, I 39; 53.5°, I 22

=====

(6)
Simulated powder XRD pattern of AgBiO2 for Cu Kα, from a crystal structure in the Materials Project, relaxed with GGA-PBE.
Intensities are scaled so that the largest is 100.

Structural model:
Cell lengths 6.232, 3.554, 6.876 Å; angles 90.00, 98.80, 90.00 degrees
Positions (direct):
Ag1 0.186 0.250 0.090
Ag2 0.814 0.750 0.910
Bi1 0.247 0.750 0.612
Bi2 0.753 0.250 0.388
O1 0.097 0.250 0.376
O2 0.288 0.250 0.813
O3 0.712 0.750 0.187
O4 0.903 0.750 0.624

Most intense lines, 2θ from 15° to 90°, low angle first:
28.0°, I 83; 28.3°, I 65; 29.0°, I 83; 31.0°, I 61; 32.0°, I 43; 32.8°, I 100; 47.6°, I 41; 51.4°, I 38

=====

(7)
Simulated powder XRD pattern of MgTi2O4 for Cu Kα, from a crystal structure in the Materials Project, relaxed with GGA-PBE.
Intensities are scaled so that the largest is 100.

Structural model:
Cell lengths 6.058, 6.058, 6.058 Å; angles 121.82, 119.41, 88.95 degrees
Positions (direct):
Mg1 0.000 0.000 0.000
Mg2 0.500 0.000 0.500
Ti1 0.000 0.000 0.500
Ti2 0.000 0.500 0.000
Ti3 0.371 0.621 0.750
Ti4 0.629 0.379 0.250
O1 0.240 0.231 0.491
O2 0.240 0.748 0.009
O3 0.245 0.247 0.998
O4 0.250 0.753 0.498
O5 0.750 0.247 0.502
O6 0.755 0.753 0.002
O7 0.760 0.252 0.991
O8 0.760 0.769 0.509

Most intense lines, 2θ from 15° to 90°, low angle first:
29.2°, I 31; 29.5°, I 57; 34.4°, I 49; 34.7°, I 81; 35.4°, I 100; 42.6°, I 34; 55.9°, I 24; 61.2°, I 81

=====

(8)
Simulated powder XRD pattern of NaCdO3 for Cu Kα, from a crystal structure in the Materials Project, relaxed with GGA-PBE.
Intensities are scaled so that the largest is 100.

Structural model:
Cell lengths 4.257, 4.257, 4.257 Å; angles 90.00, 90.00, 90.00 degrees
Positions (direct):
Na1 0.000 0.000 0.000
Cd1 0.500 0.500 0.500
O1 0.000 0.500 0.500
O2 0.500 0.000 0.500
O3 0.500 0.500 0.000

Most intense lines, 2θ from 15° to 90°, low angle first:
20.9°, I 94; 29.7°, I 100; 42.5°, I 43; 47.8°, I 39; 52.7°, I 40; 61.6°, I 25; 65.8°, I 17; 85.3°, I 19

=====

(9)
Simulated powder XRD pattern of Mg2AlCr3S8 for Cu Kα, from a crystal structure in the Materials Project, relaxed with GGA-PBE.
Intensities are scaled so that the largest is 100.

Structural model:
Cell lengths 7.225, 7.225, 7.225 Å; angles 60.10, 60.10, 60.10 degrees
Positions (direct):
Mg1 0.125 0.125 0.125
Mg2 0.875 0.875 0.875
Al1 0.500 0.500 0.500
Cr1 0.000 0.500 0.500
Cr2 0.500 0.000 0.500
Cr3 0.500 0.500 0.000
S1 0.263 0.263 0.263
S2 0.263 0.263 0.711
S3 0.263 0.711 0.263
S4 0.289 0.737 0.737
S5 0.711 0.263 0.263
S6 0.737 0.289 0.737
S7 0.737 0.737 0.289
S8 0.737 0.737 0.737

Most intense lines, 2θ from 15° to 90°, low angle first:
15.0°, I 34; 24.6°, I 15; 29.0°, I 68; 35.1°, I 100; 46.1°, I 49; 50.5°, I 97; 62.9°, I 13; 74.2°, I 13